# 1
# V12Ga3Si
Computed XRD peak list, Cu Kα (weighted mean of Kα1 and Kα2). Input: a cell relaxed with GGA-PBE.

The 10 most intense peaks (10 to 80 degrees two-theta), sorted by position:
2θ/deg  Rel. int.
37.56  24
37.90  48
42.27  54
42.52  87
42.59  22
46.58  53
46.80  100
74.33  23
74.60  23
74.76  24

Cell and atoms:
Cell: 4.7456 4.7509 9.5787 Å, 90.00 90.00 90.00°
Sites, in units of the cell vectors:
V: 0.0000 0.0000 0.1219
V: 0.0000 0.0000 0.3758
V: 0.0000 0.0000 0.6242
V: 0.0000 0.0000 0.8781
V: 0.2459 0.5000 0.5000
V: 0.2566 0.5000 0.0000
V: 0.5000 0.2431 0.2440
V: 0.5000 0.2431 0.7560
V: 0.5000 0.7569 0.2440
V: 0.5000 0.7569 0.7560
V: 0.7434 0.5000 0.0000
V: 0.7541 0.5000 0.5000
Ga: 0.0000 0.5000 0.2492
Ga: 0.0000 0.5000 0.7508
Ga: 0.5000 0.0000 0.5000
Si: 0.5000 0.0000 0.0000

# 2
# Sm3TePdCl
Computed XRD peak list, Cu Kα (weighted mean of Kα1 and Kα2). Input: a cell relaxed with GGA-PBE.

The 10 most intense peaks (10 to 80 degrees two-theta), sorted by position:
2θ/deg  Rel. int.
28.45  45
30.31  65
30.54  100
33.07  38
35.11  47
42.63  42
43.38  25
47.89  22
52.05  18
62.44  18

Cell and atoms:
Cell: 8.3485 4.2415 9.7104 Å, 90.00 104.28 90.00°
Sites, in units of the cell vectors:
Sm: 0.0586 0.2500 0.3393
Sm: 0.2131 0.2500 0.9786
Sm: 0.3968 0.7500 0.6105
Sm: 0.6032 0.2500 0.3895
Sm: 0.7869 0.7500 0.0214
Sm: 0.9414 0.7500 0.6607
Te: 0.3042 0.7500 0.2504
Te: 0.6958 0.2500 0.7496
Pd: 0.1690 0.2500 0.6446
Pd: 0.8310 0.7500 0.3554
Cl: 0.3998 0.7500 0.8965
Cl: 0.6002 0.2500 0.1035

# 3
# PrAsRh2
Computed XRD peak list, Cu Kα (weighted mean of Kα1 and Kα2). Input: a cell relaxed with GGA-PBE.

The 10 most intense peaks (10 to 80 degrees two-theta), sorted by position:
2θ/deg  Rel. int.
27.54  24
31.53  66
32.88  83
35.62  100
36.68  87
43.55  63
45.19  93
58.83  46
64.57  39
65.83  30

Cell and atoms:
Cell: 4.0127 4.0127 9.7170 Å, 90.00 90.00 90.00°
Sites, in units of the cell vectors:
Pr: 0.2500 0.2500 0.2088
Pr: 0.7500 0.7500 0.7912
As: 0.2500 0.2500 0.6515
As: 0.7500 0.7500 0.3485
Rh: 0.2500 0.2500 0.9029
Rh: 0.2500 0.7500 0.5000
Rh: 0.7500 0.2500 0.5000
Rh: 0.7500 0.7500 0.0971

# 4
# CrNi2H3
Computed XRD peak list, Cu Kα (weighted mean of Kα1 and Kα2). Input: a cell relaxed with GGA-PBE.

The 10 most intense peaks (10 to 80 degrees two-theta), sorted by position:
2θ/deg  Rel. int.
27.86  2
33.41  1
41.57  100
41.80  98
48.18  66
49.18  33
54.53  1
70.18  9
70.83  9
71.31  37

Cell and atoms:
Cell: 5.3644 3.7050 7.9816 Å, 90.00 90.00 90.00°
Sites, in units of the cell vectors:
Cr: 0.1028 0.2500 0.0676
Cr: 0.3972 0.7500 0.5676
Cr: 0.6028 0.2500 0.4324
Cr: 0.8972 0.7500 0.9324
Ni: 0.1184 0.2500 0.4140
Ni: 0.1249 0.2500 0.7505
Ni: 0.3751 0.7500 0.2505
Ni: 0.3816 0.7500 0.9140
Ni: 0.6184 0.2500 0.0860
Ni: 0.6249 0.2500 0.7495
Ni: 0.8751 0.7500 0.2495
Ni: 0.8816 0.7500 0.5860
H: 0.1137 0.7500 0.4173
H: 0.1260 0.7500 0.7415
H: 0.1388 0.7500 0.0866
H: 0.3612 0.2500 0.5866
H: 0.3740 0.2500 0.2414
H: 0.3863 0.2500 0.9173
H: 0.6137 0.7500 0.0827
H: 0.6260 0.7500 0.7585
H: 0.6388 0.7500 0.4134
H: 0.8612 0.2500 0.9134
H: 0.8740 0.2500 0.2586
H: 0.8863 0.2500 0.5827

# 5
# Li2Y3Rh7
Computed XRD peak list, Cu Kα (weighted mean of Kα1 and Kα2). Input: a cell relaxed with GGA-PBE.

The 10 most intense peaks (10 to 80 degrees two-theta), sorted by position:
2θ/deg  Rel. int.
10.61  36
21.32  35
31.66  42
34.65  56
39.17  83
39.68  44
40.14  100
43.14  56
43.42  29
70.63  35

Cell and atoms:
Cell: 8.8876 8.8876 8.8876 Å, 34.93 34.93 34.93°
Sites, in units of the cell vectors:
Li: 0.1643 0.1643 0.1643
Li: 0.8357 0.8357 0.8357
Y: 0.3592 0.3592 0.3592
Y: 0.5000 0.5000 0.5000
Y: 0.6408 0.6408 0.6408
Rh: 0.0000 0.0000 0.0000
Rh: 0.0847 0.0847 0.5774
Rh: 0.0847 0.5774 0.0847
Rh: 0.4226 0.9153 0.9153
Rh: 0.5774 0.0847 0.0847
Rh: 0.9153 0.4226 0.9153
Rh: 0.9153 0.9153 0.4226

# 6
# Sm3Te2Se2
Computed XRD peak list, Cu Kα (weighted mean of Kα1 and Kα2). Input: a cell relaxed with GGA-PBE.

The 10 most intense peaks (10 to 80 degrees two-theta), sorted by position:
2θ/deg  Rel. int.
18.05  45
21.77  36
26.41  72
28.04  52
29.21  33
29.38  41
33.94  100
37.97  74
39.81  73
43.02  47

Cell and atoms:
Cell: 17.0199 4.2057 6.3825 Å, 90.00 94.38 90.00°
Sites, in units of the cell vectors:
Sm: 0.0000 0.0000 0.0000
Sm: 0.1841 0.0000 0.7351
Sm: 0.3159 0.5000 0.2649
Sm: 0.5000 0.5000 0.0000
Sm: 0.6841 0.5000 0.7351
Sm: 0.8159 0.0000 0.2649
Te: 0.1760 0.0000 0.2384
Te: 0.3240 0.5000 0.7616
Te: 0.6760 0.5000 0.2384
Te: 0.8240 0.0000 0.7616
Se: 0.0685 0.5000 0.7512
Se: 0.4315 0.0000 0.2488
Se: 0.5685 0.0000 0.7512
Se: 0.9315 0.5000 0.2488